[1]
Calculated powder XRD pattern
Compound: KHgAu2F8
Radiation: Cu Kα (weighted mean of Kα1 and Kα2)
Structure: a crystal structure in Alexandria, relaxed with GGA-PBE

Largest 8 diffraction maxima, in order of rising 2θ, 2θ = 15–90°:
16.77°, rel. 233, (1 0 1); 26.52°, rel. 1000, (1 1 2); 29.52°, rel. 331, (2 0 0); 33.00°, rel. 250, (0 0 4); 42.24°, rel. 176, (2 2 0); 44.86°, rel. 222, (2 0 4); 50.57°, rel. 458, (1 3 2); 54.62°, rel. 164, (2 2 4)

Structural model:
a b c (Å): 6.052 6.052 10.858
angles (deg): 90.00 90.00 90.00
Space group I-4 (No. 82)
Unique sites:
K1 0.000 0.000 0.000 [2 per cell]
Hg1 0.000 0.500 0.250 [2 per cell]
Au1 0.000 0.000 0.500 [2 per cell]
Au2 0.000 0.500 0.750 [2 per cell]
F1 0.098 0.309 0.494 [8 per cell]
F2 0.181 0.799 0.761 [8 per cell]

[2]
Calculated powder XRD pattern
Compound: NaHgAuF6
Radiation: Cu Kα (weighted mean of Kα1 and Kα2)
Structure: a crystal structure in Alexandria, relaxed with GGA-PBE

Largest 8 diffraction maxima, in order of rising 2θ, 2θ = 15–90°:
17.02°, rel. 656, (1 0 0); 19.40°, rel. 745, (0 0 1); 25.92°, rel. 779, (1 0 1); 29.70°, rel. 725, (1 1 0); 35.73°, rel. 1000, (2 -1 1); 50.10°, rel. 594, (2 -1 2); 52.71°, rel. 307, (3 0 0); 56.70°, rel. 271, (3 0 1)

Structural model:
a b c (Å): 6.0154 6.0154 4.5746
angles (deg): 90.00 90.00 120.00
Space group P312 (No. 149)
Unique sites:
Na1 0.0000 0.0000 0.0000 [1 per cell]
Hg1 0.3333 0.6667 0.5000 [1 per cell]
Au1 0.6667 0.3333 0.5000 [1 per cell]
F1 0.3562 0.0224 0.7369 [6 per cell]

[3]
Calculated powder XRD pattern
Compound: RbHg2AuF8
Radiation: Cu Kα (weighted mean of Kα1 and Kα2)
Structure: a crystal structure in Alexandria, relaxed with GGA-PBE

Largest 8 diffraction maxima, in order of rising 2θ, 2θ = 15–90°:
23.20°, rel. 1000, (1 1 0); 23.69°, rel. 948, (1 -1 0); 26.28°, rel. 719, (0 1 2); 28.81°, rel. 492, (0 1 -2); 28.96°, rel. 365, (1 0 2); 29.15°, rel. 349, (1 0 -2); 35.87°, rel. 482, (2 0 0); 40.68°, rel. 301, (1 2 2)

Structural model:
a b c (Å): 5.008 5.846 7.823
angles (deg): 84.40 89.50 88.75
Space group P-1 (No. 2)
Unique sites:
Rb1 0.000 0.000 0.000 [1 per cell]
Hg1 0.498 0.504 0.267 [2 per cell]
Au1 0.000 0.000 0.500 [1 per cell]
F1 0.008 0.764 0.701 [2 per cell]
F2 0.011 0.763 0.334 [2 per cell]
F3 0.490 0.261 0.472 [2 per cell]
F4 0.493 0.268 0.948 [2 per cell]

[4]
Calculated powder XRD pattern
Compound: Tl4Hg2AuF
Radiation: Cu Kα (weighted mean of Kα1 and Kα2)
Structure: a crystal structure in Alexandria, relaxed with GGA-PBE

Largest 8 diffraction maxima, in order of rising 2θ, 2θ = 15–90°:
29.10°, rel. 1000, (2 2 0); 29.24°, rel. 493, (0 0 4); 32.22°, rel. 172, (2 1 3); 40.02°, rel. 168, (0 4 0); 41.72°, rel. 693, (2 2 4); 43.18°, rel. 185, (4 0 0); 53.00°, rel. 212, (4 0 4); 60.34°, rel. 175, (4 4 0)

Structural model:
a b c (Å): 8.381 9.011 12.218
angles (deg): 90.00 90.00 90.00
Space group Imma (No. 74)
Unique sites:
Tl1 0.000 0.045 0.242 [8 per cell]
Tl2 0.233 0.250 0.023 [8 per cell]
Hg1 0.000 0.000 0.500 [4 per cell]
Hg2 0.250 0.250 0.750 [4 per cell]
Au1 0.000 0.000 0.000 [4 per cell]
F1 0.250 0.250 0.250 [4 per cell]

[5]
Calculated powder XRD pattern
Compound: AuIF3
Radiation: Cu Kα (weighted mean of Kα1 and Kα2)
Structure: a crystal structure in Alexandria, relaxed with GGA-PBE

Largest 8 diffraction maxima, in order of rising 2θ, 2θ = 15–90°:
15.42°, rel. 227, (1 0 0); 21.58°, rel. 1000, (0 1 1); 23.53°, rel. 985, (0 0 2); 26.45°, rel. 596, (1 1 -1); 26.81°, rel. 517, (1 1 1); 39.92°, rel. 524, (1 2 0); 40.22°, rel. 240, (0 1 3); 46.66°, rel. 280, (1 2 -2)

Structural model:
a b c (Å): 5.749 4.909 7.564
angles (deg): 90.00 91.45 90.00
Space group P2_1 (No. 4)
Unique sites:
Au1 0.027 0.000 0.249 [2 per cell]
I1 0.418 0.746 0.255 [2 per cell]
F1 0.117 0.193 0.626 [2 per cell]
F2 0.162 0.314 0.123 [2 per cell]
F3 0.301 0.671 0.758 [2 per cell]

[6]
Calculated powder XRD pattern
Compound: In2AuF
Radiation: Cu Kα (weighted mean of Kα1 and Kα2)
Structure: a crystal structure in Alexandria, relaxed with GGA-PBE

Largest 8 diffraction maxima, in order of rising 2θ, 2θ = 15–90°:
25.69°, rel. 849, (0 1 2); 32.11°, rel. 1000, (0 1 5); 38.27°, rel. 202, (1 0 7); 41.72°, rel. 275, (0 1 8); 42.73°, rel. 547, (1 1 0); 44.66°, rel. 321, (1 1 3); 49.19°, rel. 358, (1 0 10); 54.44°, rel. 225, (2 0 5)

Structural model:
a b c (Å): 4.2318 4.2318 21.4654
angles (deg): 90.00 90.00 120.00
Space group R-3m (No. 166, hexagonal axes)
Unique sites:
In1 0.0000 0.0000 0.1017 [6 per cell]
Au1 0.0000 0.0000 0.5000 [3 per cell]
F1 0.0000 0.0000 0.0000 [3 per cell]

> Which formula does entry 2 have?

NaHgAuF6